(1)
This entry pairs a crystal structure of Ac2AlCoS6 with its calculated PXRD pattern. Radiation: Cu Kα X-rays. Structure: a cell relaxed with GGA-PBE.

Principal peaks in the range 2θ from 10° to 90°, low angle first:
2θ/deg, Rel. int.
18.93, 33
26.71, 20
27.12, 100
33.14, 33
33.44, 33
38.40, 39
39.06, 19
47.42, 18
47.90, 26
55.92, 32

Structural model:
```
data_Ac2AlCoS6
_space_group_name_H-M_alt 'P 1'
_space_group_IT_number 1
_space_group_name_Hall 'P 1'
_cell_length_a 6.586
_cell_length_b 9.223
_cell_length_c 6.674
_cell_angle_alpha 90.00
_cell_angle_beta 90.00
_cell_angle_gamma 90.00
loop_
_atom_site_label
_atom_site_fract_x
_atom_site_fract_y
_atom_site_fract_z
Ac1 0.250 0.000 0.239
Ac2 0.250 0.500 0.239
Ac3 0.750 0.000 0.761
Ac4 0.750 0.500 0.761
Al1 0.250 0.250 0.736
Al2 0.750 0.750 0.264
Co1 0.250 0.750 0.750
Co2 0.750 0.250 0.250
S1 0.000 0.250 0.010
S2 0.000 0.750 0.990
S3 0.010 0.750 0.502
S4 0.250 0.504 0.778
S5 0.250 0.996 0.778
S6 0.490 0.750 0.502
S7 0.500 0.250 0.010
S8 0.500 0.750 0.990
S9 0.510 0.250 0.498
S10 0.750 0.004 0.222
S11 0.750 0.496 0.222
S12 0.990 0.250 0.498
```

(2)
This entry pairs a crystal structure of NiP6Ru with its calculated PXRD pattern. Radiation: Cu Kα X-rays. Structure: a cell relaxed with GGA-PBE.

Principal peaks in the range 2θ from 10° to 90°, low angle first:
2θ/deg, Rel. int.
22.37, 100
31.82, 60
35.63, 31
35.74, 21
39.09, 21
39.43, 20
51.30, 37
51.43, 36
56.51, 32
57.02, 21

Structural model:
```
data_NiP6Ru
_space_group_name_H-M_alt 'P 1'
_space_group_IT_number 1
_space_group_name_Hall 'P 1'
_cell_length_a 6.857
_cell_length_b 6.857
_cell_length_c 7.938
_cell_angle_alpha 124.86
_cell_angle_beta 124.86
_cell_angle_gamma 71.08
loop_
_atom_site_label
_atom_site_fract_x
_atom_site_fract_y
_atom_site_fract_z
Ni1 0.000 0.500 0.000
Ni2 0.500 0.000 0.000
P1 0.141 0.856 0.145
P2 0.144 0.859 0.855
P3 0.211 0.504 0.354
P4 0.354 0.354 0.998
P5 0.355 0.355 0.715
P6 0.496 0.789 0.646
P7 0.504 0.211 0.354
P8 0.645 0.645 0.285
P9 0.646 0.646 0.002
P10 0.789 0.496 0.646
P11 0.856 0.141 0.145
P12 0.859 0.144 0.855
Ru1 0.000 0.500 0.500
Ru2 0.500 0.000 0.500
```

(3)
This entry pairs a crystal structure of MnBPdAuI with its calculated PXRD pattern. Radiation: Cu Kα X-rays. Structure: a cell relaxed with GGA-PBE.

Principal peaks in the range 2θ from 10° to 90°, low angle first:
2θ/deg, Rel. int.
10.30, 36
31.00, 87
31.25, 18
34.96, 100
39.05, 97
42.09, 20
53.62, 47
59.11, 19
68.30, 18
70.41, 25

Structural model:
```
data_MnBPdAuI
_space_group_name_H-M_alt 'P 1'
_space_group_IT_number 1
_space_group_name_Hall 'P 1'
_cell_length_a 8.811
_cell_length_b 8.811
_cell_length_c 8.811
_cell_angle_alpha 22.37
_cell_angle_beta 22.37
_cell_angle_gamma 22.37
loop_
_atom_site_label
_atom_site_fract_x
_atom_site_fract_y
_atom_site_fract_z
Mn1 0.000 0.000 0.000
B1 0.373 0.373 0.373
Pd1 0.742 0.742 0.742
Au1 0.152 0.152 0.152
I1 0.589 0.589 0.589
```

> What is the formula in the third record?

MnBPdAuI